This entry pairs a crystal structure of Mg3Si2O9 with its theoretical powder diffraction line list. Radiation: a wavelength of 1.5418 Å. Structure: DFT lattice parameters and positions (PBE).
Kinematic intensities with the Lorentz-polarization factor, no thermal factor.

Largest 10 diffraction maxima, sorted by position, 2θ = 10–80°:
| 2θ (°) | I/Imax | (hkl) |
| --- | --- | --- |
| 12.4 | 97 | 0 0 1 |
| 18.1 | 22 | 0 2 0 |
| 19.1 | 36 | 1 1 0 |
| 21.4 | 48 | 1 1 -1 |
| 25.0 | 100 | 0 0 2 |
| 33.7 | 37 | 1 3 -1 |
| 34.0 | 26 | 2 0 0 |
| 38.2 | 32 | 2 0 1 |
| 39.5 | 25 | 1 3 -2 |
| 59.3 | 31 | 3 3 -1 |

Unit cell a=5.3407 b=9.7788 c=7.2126 alpha=90.00 beta=98.93 gamma=90.00
Space group Cm (No. 8)
Symmetry-distinct sites (fractional):
Mg  0.0000  0.0000  0.0000
Mg  0.4852  0.1923  0.9989
Si  0.0460  0.1637  0.5936
O  0.0215  0.5000  0.9060
O  0.0303  0.0000  0.5239
O  0.0942  0.1632  0.8241
O  0.2816  0.2491  0.5208
O  0.3405  0.3448  0.1134
O  0.4000  0.0000  0.0719


This entry pairs a crystal structure of MgSiO3 with its theoretical powder diffraction line list. Radiation: a wavelength of 1.5418 Å. Structure: DFT lattice parameters and positions (PBE).
Kinematic intensities with the Lorentz-polarization factor, no thermal factor.

Largest 10 diffraction maxima, sorted by position, 2θ = 10–80°:
| 2θ (°) | I/Imax | (hkl) |
| --- | --- | --- |
| 27.2 | 16 | 2 1 1 |
| 27.8 | 100 | 1 2 1 |
| 30.4 | 32 | 3 1 0 |
| 32.4 | 19 | 2 2 1 |
| 34.7 | 22 | 1 0 2 |
| 38.6 | 18 | 2 0 2 |
| 45.3 | 14 | 1 4 1 |
| 45.5 | 17 | 3 3 1 |
| 55.3 | 14 | 0 2 3 |
| 61.1 | 14 | 5 3 1 |

Unit cell a=9.3681 b=8.8571 c=5.3776 alpha=90.00 beta=90.00 gamma=90.00
Space group Pbcn (No. 60)
Symmetry-distinct sites (fractional):
Mg  0.0000  0.0983  0.2500
Mg  0.0000  0.2620  0.7500
Si  0.2080  0.4093  0.0638
O  0.1180  0.0939  0.5770
O  0.1217  0.2526  0.0682
O  0.1516  0.4742  0.7864